Starting from a crystal structure in the Materials Project, relaxed with PBE, the powder X-ray diffraction pattern of SrMg14ZnO16 was calculated for Cu Kα X-rays.
Kinematic intensities with the Lorentz-polarization factor, no thermal factor.

Structural model:
abc: 4.4032 8.6129 8.6950
angles: 90.00 90.00 90.00
Fractional positions:
Sr 0.0000 0.0000 0.0000
Mg 0.0000 0.0000 0.5000
Mg 0.0000 0.2561 0.2566
Mg 0.0000 0.2561 0.7434
Mg 0.0000 0.5000 0.5000
Mg 0.0000 0.7439 0.2566
Mg 0.0000 0.7439 0.7434
Mg 0.5000 0.0000 0.2594
Mg 0.5000 0.0000 0.7406
Mg 0.5000 0.2515 0.5000
Mg 0.5000 0.2599 0.0000
Mg 0.5000 0.5000 0.2509
Mg 0.5000 0.5000 0.7491
Mg 0.5000 0.7401 0.0000
Mg 0.5000 0.7485 0.5000
Zn 0.0000 0.5000 0.0000
O 0.0000 0.0000 0.2712
O 0.0000 0.0000 0.7288
O 0.0000 0.2534 0.5000
O 0.0000 0.2708 0.0000
O 0.0000 0.5000 0.2609
O 0.0000 0.5000 0.7391
O 0.0000 0.7292 0.0000
O 0.0000 0.7466 0.5000
O 0.5000 0.0000 0.0000
O 0.5000 0.0000 0.5000
O 0.5000 0.2504 0.2496
O 0.5000 0.2504 0.7504
O 0.5000 0.5000 0.0000
O 0.5000 0.5000 0.5000
O 0.5000 0.7496 0.2496
O 0.5000 0.7496 0.7504

Most intense lines, 2θ from 10° to 90°, by intensity:
| Position (°2θ) | I_rel | (hkl) |
| --- | --- | --- |
| 41.0 | 100 | 2 0 0 |
| 41.5 | 94 | 0 0 4 |
| 42.0 | 91 | 0 4 0 |
| 35.7 | 65 | 1 2 2 |
| 59.8 | 56 | 2 0 4 |
| 60.1 | 55 | 2 4 0 |
| 60.5 | 52 | 0 4 4 |
| 75.7 | 49 | 2 4 4 |
| 10.2 | 39 | 0 0 1 |
| 30.8 | 26 | 0 0 3 |